Structure and computed XRD peak list of Nd2Cu3Rh (a DFT-relaxed cell (GGA-PBE, Alexandria); Cu Ka).
Neutral-atom scattering factors, no anomalous dispersion.

Most intense lines, 2θ from 15° to 90°, sorted by position:
2θ = 33.59°, I = 100; 2θ = 42.10°, I = 31; 2θ = 42.32°, I = 16; 2θ = 47.38°, I = 11; 2θ = 54.80°, I = 8; 2θ = 55.04°, I = 16; 2θ = 65.22°, I = 16; 2θ = 65.38°, I = 8; 2θ = 71.85°, I = 7; 2θ = 79.20°, I = 8

Cell and atoms:
```
data_Nd2Cu3Rh
_cell_length_a 3.838
_cell_length_b 4.272
_cell_length_c 7.447
_cell_angle_alpha 90.00
_cell_angle_beta 90.00
_cell_angle_gamma 90.00
_symmetry_space_group_name_H-M 'P m m 2'
_symmetry_Int_Tables_number 25
loop_
_symmetry_equiv_pos_as_xyz
'x,y,z'
'-x,-y,z'
'-x,y,z'
'x,-y,z'
loop_
_atom_site_label
_atom_site_type_symbol
_atom_site_fract_x
_atom_site_fract_y
_atom_site_fract_z
_atom_site_occupancy
Nd1 Nd 0.000 0.000 0.000 1
Nd2 Nd 0.000 0.500 0.473 1
Cu1 Cu 0.500 0.000 0.659 1
Cu2 Cu 0.500 0.500 0.142 1
Cu3 Cu 0.500 0.500 0.817 1
Rh1 Rh 0.500 0.000 0.321 1
```

***

Structure and computed XRD peak list of CrCoN2 (a DFT-relaxed cell (GGA-PBE, Alexandria); Cu Ka).
Neutral-atom scattering factors, no anomalous dispersion.

Most intense lines, 2θ from 15° to 90°, sorted by position:
2θ = 35.06°, I = 45; 2θ = 38.48°, I = 100; 2θ = 48.43°, I = 24; 2θ = 49.54°, I = 22; 2θ = 61.17°, I = 15; 2θ = 62.13°, I = 15; 2θ = 65.17°, I = 32; 2θ = 71.79°, I = 13; 2θ = 82.47°, I = 12; 2θ = 83.69°, I = 9

Cell and atoms:
```
data_CrCoN2
_cell_length_a 3.759
_cell_length_b 3.680
_cell_length_c 5.119
_cell_angle_alpha 90.00
_cell_angle_beta 90.00
_cell_angle_gamma 90.00
_symmetry_space_group_name_H-M 'A m m 2'
_symmetry_Int_Tables_number 38
loop_
_symmetry_equiv_pos_as_xyz
'x,y,z'
'-x,-y,z'
'-x,y,z'
'x,-y,z'
'x,y+1/2,z+1/2'
'-x,-y+1/2,z+1/2'
'-x,y+1/2,z+1/2'
'x,-y+1/2,z+1/2'
loop_
_atom_site_label
_atom_site_type_symbol
_atom_site_fract_x
_atom_site_fract_y
_atom_site_fract_z
_atom_site_occupancy
Cr1 Cr 0.000 0.000 0.000 1
Co1 Co 0.500 0.000 0.485 1
N1 N 0.000 0.000 0.640 1
N2 N 0.500 0.000 0.103 1
```

***

Structure and computed XRD peak list of Pm2AlPt4 (a DFT-relaxed cell (GGA-PBE, Alexandria); Cu Ka).
Neutral-atom scattering factors, no anomalous dispersion.

Most intense lines, 2θ from 15° to 90°, sorted by position:
2θ = 20.63°, I = 61; 2θ = 25.97°, I = 100; 2θ = 32.79°, I = 78; 2θ = 35.00°, I = 70; 2θ = 39.24°, I = 35; 2θ = 39.43°, I = 65; 2θ = 40.53°, I = 44; 2θ = 40.97°, I = 76; 2θ = 41.99°, I = 71; 2θ = 42.79°, I = 51

Cell and atoms:
```
data_Pm2AlPt4
_cell_length_a 8.269
_cell_length_b 5.528
_cell_length_c 7.771
_cell_angle_alpha 90.00
_cell_angle_beta 118.09
_cell_angle_gamma 90.00
_symmetry_space_group_name_H-M 'C 1 2/m 1'
_symmetry_Int_Tables_number 12
loop_
_symmetry_equiv_pos_as_xyz
'x,y,z'
'-x,-y,-z'
'-x,y,-z'
'x,-y,z'
'x+1/2,y+1/2,z'
'-x+1/2,-y+1/2,-z'
'-x+1/2,y+1/2,-z'
'x+1/2,-y+1/2,z'
loop_
_atom_site_label
_atom_site_type_symbol
_atom_site_fract_x
_atom_site_fract_y
_atom_site_fract_z
_atom_site_occupancy
Pm1 Pm 0.122 0.000 0.291 1
Al1 Al 0.000 0.500 0.000 1
Pt1 Pt 0.004 0.500 0.334 1
Pt2 Pt 0.250 0.250 0.000 1
```

***

Structure and computed XRD peak list of Sb6PtRh (a DFT-relaxed cell (GGA-PBE, Alexandria); Cu Ka).
Neutral-atom scattering factors, no anomalous dispersion.

Most intense lines, 2θ from 15° to 90°, sorted by position:
2θ = 18.74°, I = 29; 2θ = 23.00°, I = 11; 2θ = 29.84°, I = 100; 2θ = 35.46°, I = 34; 2θ = 42.70°, I = 59; 2θ = 44.88°, I = 11; 2θ = 47.01°, I = 39; 2θ = 49.05°, I = 29; 2θ = 56.67°, I = 12; 2θ = 67.01°, I = 13

Cell and atoms:
```
data_Sb6PtRh
_cell_length_a 13.378
_cell_length_b 9.471
_cell_length_c 9.468
_cell_angle_alpha 90.00
_cell_angle_beta 134.93
_cell_angle_gamma 90.00
_symmetry_space_group_name_H-M 'C 1 2/m 1'
_symmetry_Int_Tables_number 12
loop_
_symmetry_equiv_pos_as_xyz
'x,y,z'
'-x,-y,-z'
'-x,y,-z'
'x,-y,z'
'x+1/2,y+1/2,z'
'-x+1/2,-y+1/2,-z'
'-x+1/2,y+1/2,-z'
'x+1/2,-y+1/2,z'
loop_
_atom_site_label
_atom_site_type_symbol
_atom_site_fract_x
_atom_site_fract_y
_atom_site_fract_z
_atom_site_occupancy
Sb1 Sb 0.004 0.155 0.346 1
Sb2 Sb 0.154 0.342 0.158 1
Sb3 Sb 0.154 0.500 0.807 1
Sb4 Sb 0.162 0.500 0.506 1
Pt1 Pt 0.250 0.250 0.000 1
Rh1 Rh 0.250 0.250 0.500 1
```

***

Structure and computed XRD peak list of SmTlS14 (a DFT-relaxed cell (GGA-PBE, Alexandria); Cu Ka).
Neutral-atom scattering factors, no anomalous dispersion.

Most intense lines, 2θ from 15° to 90°, sorted by position:
2θ = 15.89°, I = 100; 2θ = 17.64°, I = 31; 2θ = 17.79°, I = 80; 2θ = 22.19°, I = 32; 2θ = 23.14°, I = 55; 2θ = 24.01°, I = 43; 2θ = 24.34°, I = 71; 2θ = 31.89°, I = 51; 2θ = 33.77°, I = 34; 2θ = 33.89°, I = 27

Cell and atoms:
```
data_SmTlS14
_cell_length_a 16.134
_cell_length_b 8.758
_cell_length_c 14.018
_cell_angle_alpha 90.00
_cell_angle_beta 96.46
_cell_angle_gamma 90.00
_symmetry_space_group_name_H-M 'C 1 2/c 1'
_symmetry_Int_Tables_number 15
loop_
_symmetry_equiv_pos_as_xyz
'x,y,z'
'-x,-y,-z'
'-x,y,-z+1/2'
'x,-y,z+1/2'
'x+1/2,y+1/2,z'
'-x+1/2,-y+1/2,-z'
'-x+1/2,y+1/2,-z+1/2'
'x+1/2,-y+1/2,z+1/2'
loop_
_atom_site_label
_atom_site_type_symbol
_atom_site_fract_x
_atom_site_fract_y
_atom_site_fract_z
_atom_site_occupancy
Sm1 Sm 0.250 0.250 0.000 1
Tl1 Tl 0.000 0.015 0.750 1
S1 S 0.053 0.443 0.898 1
S2 S 0.057 0.391 0.293 1
S3 S 0.114 0.252 0.855 1
S4 S 0.149 0.017 0.077 1
S5 S 0.167 0.345 0.556 1
S6 S 0.224 0.483 0.133 1
S7 S 0.229 0.154 0.617 1
```

***

Structure and computed XRD peak list of CaNb2Te4Cl10O (a DFT-relaxed cell (GGA-PBE, Alexandria); Cu Ka).
Neutral-atom scattering factors, no anomalous dispersion.

Most intense lines, 2θ from 15° to 90°, sorted by position:
2θ = 15.12°, I = 100; 2θ = 17.79°, I = 35; 2θ = 19.19°, I = 56; 2θ = 20.21°, I = 41; 2θ = 24.46°, I = 30; 2θ = 29.70°, I = 56; 2θ = 31.53°, I = 22; 2θ = 34.91°, I = 19; 2θ = 37.90°, I = 23; 2θ = 39.80°, I = 24

Cell and atoms:
```
data_CaNb2Te4Cl10O
_cell_length_a 7.320
_cell_length_b 9.013
_cell_length_c 9.554
_cell_angle_alpha 96.36
_cell_angle_beta 91.77
_cell_angle_gamma 102.93
_symmetry_space_group_name_H-M 'P 1'
_symmetry_Int_Tables_number 1
loop_
_symmetry_equiv_pos_as_xyz
'x,y,z'
loop_
_atom_site_label
_atom_site_type_symbol
_atom_site_fract_x
_atom_site_fract_y
_atom_site_fract_z
_atom_site_occupancy
Ca1 Ca 0.000 0.000 0.000 1
Nb1 Nb 0.130 0.304 0.345 1
Nb2 Nb 0.157 0.013 0.604 1
Te1 Te 0.452 0.551 0.834 1
Te2 Te 0.539 0.817 0.022 1
Te3 Te 0.756 0.460 0.949 1
Te4 Te 0.809 0.699 0.165 1
Cl1 Cl 0.110 0.467 0.160 1
Cl2 Cl 0.175 0.842 0.814 1
Cl3 Cl 0.294 0.149 0.172 1
Cl4 Cl 0.318 0.861 0.471 1
Cl5 Cl 0.420 0.451 0.431 1
Cl6 Cl 0.438 0.176 0.720 1
Cl7 Cl 0.836 0.122 0.225 1
Cl8 Cl 0.860 0.849 0.546 1
Cl9 Cl 0.942 0.425 0.486 1
Cl10 Cl 0.986 0.161 0.784 1
O1 O 0.136 0.149 0.474 1
```

***

Structure and computed XRD peak list of Al2CdCo (a DFT-relaxed cell (GGA-PBE, Alexandria); Cu Ka).
Neutral-atom scattering factors, no anomalous dispersion.

Most intense lines, 2θ from 15° to 90°, sorted by position:
2θ = 31.55°, I = 65; 2θ = 39.77°, I = 66; 2θ = 40.91°, I = 100; 2θ = 42.57°, I = 11; 2θ = 44.71°, I = 12; 2θ = 57.50°, I = 21; 2θ = 61.36°, I = 18; 2θ = 67.08°, I = 13; 2θ = 72.96°, I = 33; 2θ = 85.37°, I = 11

Cell and atoms:
```
data_Al2CdCo
_cell_length_a 3.205
_cell_length_b 3.205
_cell_length_c 6.081
_cell_angle_alpha 90.00
_cell_angle_beta 90.00
_cell_angle_gamma 90.00
_symmetry_space_group_name_H-M 'P 4 m m'
_symmetry_Int_Tables_number 99
loop_
_symmetry_equiv_pos_as_xyz
'x,y,z'
'-y,x,z'
'-x,-y,z'
'y,-x,z'
'-x,y,z'
'y,x,z'
'x,-y,z'
'-y,-x,z'
loop_
_atom_site_label
_atom_site_type_symbol
_atom_site_fract_x
_atom_site_fract_y
_atom_site_fract_z
_atom_site_occupancy
Al1 Al 0.000 0.000 0.000 1
Al2 Al 0.500 0.500 0.258 1
Cd1 Cd 0.000 0.000 0.550 1
Co1 Co 0.500 0.500 0.851 1
```

***

Structure and computed XRD peak list of CeTh2Os (a DFT-relaxed cell (GGA-PBE, Alexandria); Cu Ka).
Neutral-atom scattering factors, no anomalous dispersion.

Most intense lines, 2θ from 15° to 90°, sorted by position:
2θ = 29.66°, I = 25; 2θ = 30.78°, I = 100; 2θ = 31.52°, I = 58; 2θ = 33.59°, I = 30; 2θ = 35.03°, I = 58; 2θ = 36.32°, I = 29; 2θ = 39.40°, I = 21; 2θ = 41.68°, I = 39; 2θ = 45.16°, I = 19; 2θ = 53.19°, I = 32

Cell and atoms:
```
data_CeTh2Os
_cell_length_a 6.789
_cell_length_b 4.334
_cell_length_c 8.087
_cell_angle_alpha 90.00
_cell_angle_beta 110.69
_cell_angle_gamma 90.00
_symmetry_space_group_name_H-M 'P 1 21/m 1'
_symmetry_Int_Tables_number 11
loop_
_symmetry_equiv_pos_as_xyz
'x,y,z'
'-x,-y,-z'
'-x,y+1/2,-z'
'x,-y+1/2,z'
loop_
_atom_site_label
_atom_site_type_symbol
_atom_site_fract_x
_atom_site_fract_y
_atom_site_fract_z
_atom_site_occupancy
Ce1 Ce 0.074 0.250 0.432 1
Th1 Th 0.250 0.250 0.922 1
Th2 Th 0.374 0.750 0.312 1
Os1 Os 0.378 0.750 0.732 1
```

***

Structure and computed XRD peak list of Mg3Zn4Ru (a DFT-relaxed cell (GGA-PBE, Alexandria); Cu Ka).
Neutral-atom scattering factors, no anomalous dispersion.

Most intense lines, 2θ from 15° to 90°, sorted by position:
2θ = 21.59°, I = 15; 2θ = 39.20°, I = 100; 2θ = 41.96°, I = 43; 2θ = 49.17°, I = 8; 2θ = 52.23°, I = 9; 2θ = 60.85°, I = 14; 2θ = 69.14°, I = 15; 2θ = 74.79°, I = 20; 2θ = 74.88°, I = 7; 2θ = 84.24°, I = 7

Cell and atoms:
```
data_Mg3Zn4Ru
_cell_length_a 6.087
_cell_length_b 6.092
_cell_length_c 7.633
_cell_angle_alpha 90.00
_cell_angle_beta 113.40
_cell_angle_gamma 90.00
_symmetry_space_group_name_H-M 'C 1 2/m 1'
_symmetry_Int_Tables_number 12
loop_
_symmetry_equiv_pos_as_xyz
'x,y,z'
'-x,-y,-z'
'-x,y,-z'
'x,-y,z'
'x+1/2,y+1/2,z'
'-x+1/2,-y+1/2,-z'
'-x+1/2,y+1/2,-z'
'x+1/2,-y+1/2,z'
loop_
_atom_site_label
_atom_site_type_symbol
_atom_site_fract_x
_atom_site_fract_y
_atom_site_fract_z
_atom_site_occupancy
Mg1 Mg 0.000 0.000 0.000 1
Mg2 Mg 0.241 0.500 0.482 1
Zn1 Zn 0.134 0.250 0.768 1
Ru1 Ru 0.000 0.500 0.000 1
```

***

Structure and computed XRD peak list of Ti4CuIr3 (a DFT-relaxed cell (GGA-PBE, Alexandria); Cu Ka).
Neutral-atom scattering factors, no anomalous dispersion.

Most intense lines, 2θ from 15° to 90°, sorted by position:
2θ = 26.32°, I = 29; 2θ = 29.97°, I = 21; 2θ = 30.14°, I = 31; 2θ = 40.33°, I = 100; 2θ = 40.47°, I = 33; 2θ = 43.02°, I = 55; 2θ = 51.14°, I = 21; 2θ = 54.17°, I = 14; 2θ = 71.49°, I = 13; 2θ = 76.93°, I = 19

Cell and atoms:
```
data_Ti4CuIr3
_cell_length_a 6.773
_cell_length_b 5.962
_cell_length_c 6.825
_cell_angle_alpha 90.00
_cell_angle_beta 119.64
_cell_angle_gamma 90.00
_symmetry_space_group_name_H-M 'C 1 2/m 1'
_symmetry_Int_Tables_number 12
loop_
_symmetry_equiv_pos_as_xyz
'x,y,z'
'-x,-y,-z'
'-x,y,-z'
'x,-y,z'
'x+1/2,y+1/2,z'
'-x+1/2,-y+1/2,-z'
'-x+1/2,y+1/2,-z'
'x+1/2,-y+1/2,z'
loop_
_atom_site_label
_atom_site_type_symbol
_atom_site_fract_x
_atom_site_fract_y
_atom_site_fract_z
_atom_site_occupancy
Ti1 Ti 0.126 0.250 0.251 1
Cu1 Cu 0.000 0.000 0.500 1
Ir1 Ir 0.000 0.500 0.500 1
Ir2 Ir 0.245 0.000 0.990 1
```

***

Structure and computed XRD peak list of Pm2MgSb3Pd4 (a DFT-relaxed cell (GGA-PBE, Alexandria); Cu Ka).
Neutral-atom scattering factors, no anomalous dispersion.

Most intense lines, 2θ from 15° to 90°, sorted by position:
2θ = 28.51°, I = 22; 2θ = 31.32°, I = 66; 2θ = 32.77°, I = 100; 2θ = 40.76°, I = 67; 2θ = 43.33°, I = 26; 2θ = 45.33°, I = 36; 2θ = 52.29°, I = 31; 2θ = 59.01°, I = 22; 2θ = 62.59°, I = 27; 2θ = 69.16°, I = 24

Cell and atoms:
```
data_Pm2MgSb3Pd4
_cell_length_a 4.427
_cell_length_b 4.427
_cell_length_c 11.212
_cell_angle_alpha 90.00
_cell_angle_beta 90.00
_cell_angle_gamma 90.00
_symmetry_space_group_name_H-M 'P -4 m 2'
_symmetry_Int_Tables_number 115
loop_
_symmetry_equiv_pos_as_xyz
'x,y,z'
'y,-x,-z'
'-x,-y,z'
'-y,x,-z'
'-x,y,z'
'-y,-x,-z'
'x,-y,z'
'y,x,-z'
loop_
_atom_site_label
_atom_site_type_symbol
_atom_site_fract_x
_atom_site_fract_y
_atom_site_fract_z
_atom_site_occupancy
Pm1 Pm 0.000 0.500 0.233 1
Mg1 Mg 0.000 0.000 0.500 1
Sb1 Sb 0.000 0.500 0.863 1
Sb2 Sb 0.500 0.500 0.500 1
Pd1 Pd 0.000 0.000 0.000 1
Pd2 Pd 0.000 0.500 0.634 1
Pd3 Pd 0.500 0.500 0.000 1
```